Entry 1:
This entry pairs a crystal structure of TmH8Rh4 with its calculated powder diffractogram. Radiation: Cu Kα (weighted mean of Kα1 and Kα2). Structure: a DFT-relaxed cell (PBE, Alexandria).
Kinematic intensities with the Lorentz-polarization factor, no thermal factor.

Most intense lines, 2θ from 15° to 90°, sorted by position:
two_theta, d (Å), intensity, (hkl)
19.15, 4.634, 65, 0 1 -1
19.26, 4.607, 50, 1 0 0
22.16, 4.012, 36, 1 0 -1
37.33, 2.409, 68, 0 0 2
38.87, 2.317, 51, 0 2 -2
39.10, 2.304, 100, 2 0 0
44.24, 2.047, 37, 0 2 0
45.11, 2.010, 35, 2 0 -2

Structure:
Cell: 5.573 5.647 5.786 Å, 118.72 90.22 119.42°
Space group P-1 (No. 2)
One atom of each set of equivalent atoms:
Tm  0.000  0.000  0.000 (multiplicity 1)
H  0.202  0.900  0.631 (multiplicity 2)
H  0.221  0.444  0.774 (multiplicity 2)
H  0.290  0.578  0.233 (multiplicity 2)
H  0.303  0.104  0.372 (multiplicity 2)
Rh  0.000  0.000  0.500 (multiplicity 1)
Rh  0.000  0.500  0.000 (multiplicity 1)
Rh  0.500  0.000  0.500 (multiplicity 1)
Rh  0.500  0.500  0.000 (multiplicity 1)



Entry 2:
This entry pairs a crystal structure of Sr2LiCd6Ag with its calculated powder diffractogram. Radiation: Cu Kα (weighted mean of Kα1 and Kα2). Structure: a DFT-relaxed cell (PBE, Alexandria).
Kinematic intensities with the Lorentz-polarization factor, no thermal factor.

Most intense lines, 2θ from 15° to 90°, sorted by position:
two_theta, d (Å), intensity, (hkl)
28.63, 3.118, 31, 1 0 3
29.05, 3.074, 30, 2 1 1
29.47, 3.031, 84, 0 2 2
30.39, 2.941, 89, 2 0 2
34.50, 2.600, 53, 0 0 4
34.80, 2.578, 100, 2 2 0
37.18, 2.418, 27, 0 3 1
49.82, 1.830, 55, 2 2 4

Structure:
Cell: 7.133 7.459 10.399 Å, 90.00 90.00 90.00°
Space group Immm (No. 71)
One atom of each set of equivalent atoms:
Sr  0.000  0.000  0.208 (multiplicity 4)
Li  0.000  0.500  0.000 (multiplicity 2)
Cd  0.000  0.500  0.239 (multiplicity 4)
Cd  0.218  0.202  0.500 (multiplicity 8)
Ag  0.000  0.500  0.500 (multiplicity 2)



Entry 3:
This entry pairs a crystal structure of MgBeOs with its calculated powder diffractogram. Radiation: Cu Kα (weighted mean of Kα1 and Kα2). Structure: a DFT-relaxed cell (PBE, Alexandria).
Kinematic intensities with the Lorentz-polarization factor, no thermal factor.

Most intense lines, 2θ from 15° to 90°, sorted by position:
two_theta, d (Å), intensity, (hkl)
19.46, 4.562, 74, 0 0 2
31.08, 2.877, 100, 1 0 1
39.51, 2.281, 16, 0 0 4
42.10, 2.146, 98, 1 1 0
46.82, 1.940, 31, 1 1 2
59.11, 1.563, 35, 1 1 4
70.17, 1.341, 20, 2 1 1
76.99, 1.238, 22, 2 1 3

Structure:
Cell: 3.032 3.032 9.124 Å, 90.00 90.00 90.00°
Space group I4mm (No. 107)
One atom of each set of equivalent atoms:
Mg  0.000  0.000  0.000 (multiplicity 2)
Be  0.000  0.000  0.285 (multiplicity 2)
Os  0.000  0.000  0.700 (multiplicity 2)



Entry 4:
This entry pairs a crystal structure of Dy8Er5Sc with its calculated powder diffractogram. Radiation: Cu Kα (weighted mean of Kα1 and Kα2). Structure: a DFT-relaxed cell (PBE, Alexandria).
Kinematic intensities with the Lorentz-polarization factor, no thermal factor.

Most intense lines, 2θ from 15° to 90°, sorted by position:
two_theta, d (Å), intensity, (hkl)
30.64, 2.918, 48, 2 2 -2
31.10, 2.876, 100, 1 1 2
31.63, 2.829, 40, 2 2 1
31.88, 2.807, 72, 5 1 -1
32.25, 2.776, 69, 4 2 -1
33.28, 2.692, 90, 4 0 -3
33.58, 2.669, 34, 1 3 0
34.61, 2.591, 27, 1 3 -1

Structure:
Cell: 15.168 8.181 8.335 Å, 90.00 120.87 90.00°
Space group C2 (No. 5)
One atom of each set of equivalent atoms:
Dy  0.128  0.000  0.179 (multiplicity 4)
Dy  0.171  0.396  0.213 (multiplicity 4)
Dy  0.187  0.215  0.570 (multiplicity 4)
Dy  0.187  0.704  0.928 (multiplicity 4)
Er  0.000  0.948  0.500 (multiplicity 2)
Er  0.049  0.300  0.774 (multiplicity 4)
Er  0.108  0.617  0.472 (multiplicity 4)
Sc  0.000  0.662  0.000 (multiplicity 2)



Entry 5:
This entry pairs a crystal structure of MnTl2Se6 with its calculated powder diffractogram. Radiation: Cu Kα (weighted mean of Kα1 and Kα2). Structure: a DFT-relaxed cell (PBE, Alexandria).
Kinematic intensities with the Lorentz-polarization factor, no thermal factor.

Most intense lines, 2θ from 15° to 90°, sorted by position:
two_theta, d (Å), intensity, (hkl)
25.59, 3.481, 71, 2 2 0
30.68, 2.914, 48, 0 2 1
30.85, 2.898, 68, 4 0 -1
32.36, 2.767, 100, 2 2 -1
33.59, 2.668, 46, 4 2 0
34.10, 2.629, 35, 4 0 1
45.60, 1.990, 43, 0 4 0
52.86, 1.732, 47, 5 3 1

Structure:
Cell: 14.457 7.956 4.303 Å, 90.00 95.65 90.00°
Space group C2/m (No. 12)
One atom of each set of equivalent atoms:
Mn  0.000  0.000  0.000 (multiplicity 2)
Tl  0.222  0.500  0.450 (multiplicity 4)
Se  0.000  0.206  0.500 (multiplicity 4)
Se  0.130  0.207  0.950 (multiplicity 8)



Entry 6:
This entry pairs a crystal structure of Pm14NdHo with its calculated powder diffractogram. Radiation: Cu Kα (weighted mean of Kα1 and Kα2). Structure: a DFT-relaxed cell (PBE, Alexandria).
Kinematic intensities with the Lorentz-polarization factor, no thermal factor.

Most intense lines, 2θ from 15° to 90°, sorted by position:
two_theta, d (Å), intensity, (hkl)
30.03, 2.975, 100, 2 2 2
34.82, 2.577, 51, 4 0 0
50.06, 1.822, 36, 4 4 0
59.45, 1.555, 29, 2 6 2
59.57, 1.552, 14, 6 2 2
62.42, 1.488, 12, 4 4 4
81.40, 1.182, 18, 6 6 2
83.92, 1.153, 11, 4 8 0

Structure:
Cell: 10.290 10.315 10.315 Å, 90.00 90.00 90.00°
Space group Amm2 (No. 38)
One atom of each set of equivalent atoms:
Pm  0.000  0.000  0.000 (multiplicity 2)
Pm  0.000  0.000  0.499 (multiplicity 2)
Pm  0.000  0.250  0.250 (multiplicity 4)
Pm  0.251  0.000  0.251 (multiplicity 4)
Pm  0.251  0.000  0.749 (multiplicity 4)
Pm  0.251  0.249  0.500 (multiplicity 8)
Pm  0.500  0.250  0.250 (multiplicity 4)
Nd  0.500  0.000  0.999 (multiplicity 2)
Ho  0.500  0.000  0.500 (multiplicity 2)



Entry 7:
This entry pairs a crystal structure of CeHfTiAl with its calculated powder diffractogram. Radiation: Cu Kα (weighted mean of Kα1 and Kα2). Structure: a DFT-relaxed cell (PBE, Alexandria).
Kinematic intensities with the Lorentz-polarization factor, no thermal factor.

Most intense lines, 2θ from 15° to 90°, sorted by position:
two_theta, d (Å), intensity, (hkl)
25.55, 3.486, 47, 2 0 0
36.45, 2.465, 100, 2 2 0
45.05, 2.013, 14, 2 2 2
52.50, 1.743, 17, 4 0 0
59.28, 1.559, 19, 4 2 0
65.60, 1.423, 35, 4 2 2
77.44, 1.232, 11, 4 4 0
88.75, 1.102, 16, 6 2 0

Structure:
Cell: 6.972 6.972 6.972 Å, 90.00 90.00 90.00°
Space group F-43m (No. 216)
One atom of each set of equivalent atoms:
Ce  0.000  0.000  0.000 (multiplicity 4)
Hf  0.000  0.000  0.500 (multiplicity 4)
Ti  0.250  0.250  0.250 (multiplicity 4)
Al  0.250  0.250  0.750 (multiplicity 4)



Entry 8:
This entry pairs a crystal structure of GaNi3 with its calculated powder diffractogram. Radiation: Cu Kα (weighted mean of Kα1 and Kα2). Structure: a DFT-relaxed cell (PBE, Alexandria).
Kinematic intensities with the Lorentz-polarization factor, no thermal factor.

Most intense lines, 2θ from 15° to 90°, sorted by position:
two_theta, d (Å), intensity, (hkl)
40.31, 2.237, 17, 1 0 1
42.32, 2.136, 16, 0 0 2
43.95, 2.060, 35, 0 4 0
46.17, 1.966, 100, 1 2 1
47.98, 1.896, 32, 0 2 2
62.66, 1.483, 9, 0 4 2
76.04, 1.252, 12, 1 0 3
82.39, 1.171, 16, 1 6 1

Structure:
Cell: 2.626 8.241 4.271 Å, 90.00 90.00 90.00°
Space group Imm2 (No. 44)
One atom of each set of equivalent atoms:
Ga  0.000  0.000  0.000 (multiplicity 2)
Ni  0.000  0.252  0.361 (multiplicity 4)
Ni  0.000  0.500  0.000 (multiplicity 2)



Copy entry 4 word for word.
This entry pairs a crystal structure of Dy8Er5Sc with its calculated powder diffractogram. Radiation: Cu Kα (weighted mean of Kα1 and Kα2). Structure: a DFT-relaxed cell (PBE, Alexandria).
Kinematic intensities with the Lorentz-polarization factor, no thermal factor.

Most intense lines, 2θ from 15° to 90°, sorted by position:
two_theta, d (Å), intensity, (hkl)
30.64, 2.918, 48, 2 2 -2
31.10, 2.876, 100, 1 1 2
31.63, 2.829, 40, 2 2 1
31.88, 2.807, 72, 5 1 -1
32.25, 2.776, 69, 4 2 -1
33.28, 2.692, 90, 4 0 -3
33.58, 2.669, 34, 1 3 0
34.61, 2.591, 27, 1 3 -1

Structure:
Cell: 15.168 8.181 8.335 Å, 90.00 120.87 90.00°
Space group C2 (No. 5)
One atom of each set of equivalent atoms:
Dy  0.128  0.000  0.179 (multiplicity 4)
Dy  0.171  0.396  0.213 (multiplicity 4)
Dy  0.187  0.215  0.570 (multiplicity 4)
Dy  0.187  0.704  0.928 (multiplicity 4)
Er  0.000  0.948  0.500 (multiplicity 2)
Er  0.049  0.300  0.774 (multiplicity 4)
Er  0.108  0.617  0.472 (multiplicity 4)
Sc  0.000  0.662  0.000 (multiplicity 2)